[1]
This entry pairs a crystal structure of GeC with its computed XRD peak list. Radiation: a wavelength of 1.5418 Å. Structure: the GGA-PBE geometry in Alexandria.
No peak broadening, texture or thermal motion is included.

Atomic structure:
abc: 3.2514 3.2514 10.6593
angles: 90.00 90.00 120.00
Space group P6_3mc (No. 186)
Symmetry-distinct sites (fractional):
Ge 0.0000 0.0000 0.0000
Ge 0.3333 0.6667 0.2497
C 0.0000 0.0000 0.1870
C 0.3333 0.6667 0.4377

Principal peaks in the range 2θ = 15–90°, low angle first:
hkl, 2theta, I (rel.)
1 0 0, 31.8, 13
1 0 1, 32.9, 59
0 0 4, 33.6, 44
1 0 2, 36.1, 100
1 0 3, 40.9, 22
1 0 5, 53.9, 15
1 1 0, 56.6, 35
1 0 6, 61.7, 29
1 1 4, 67.5, 34
2 0 2, 69.0, 15

[2]
This entry pairs a crystal structure of MgSnGeHCO with its computed XRD peak list. Radiation: a wavelength of 1.5418 Å. Structure: the GGA-PBE geometry in Alexandria.
No peak broadening, texture or thermal motion is included.

Atomic structure:
abc: 11.091 3.291 5.627
angles: 90.00 119.97 90.00
Space group Cm (No. 8)
Symmetry-distinct sites (fractional):
Mg 0.000 0.000 0.000
Sn 0.125 0.000 0.638
Ge 0.314 0.000 0.230
H 0.323 0.500 0.570
C 0.384 0.500 0.462
O 0.422 0.000 0.055

Principal peaks in the range 2θ = 15–90°, low angle first:
hkl, 2theta, I (rel.)
2 0 -1, 18.3, 83
1 1 0, 28.7, 100
1 1 -1, 31.5, 19
2 0 -2, 31.8, 45
2 0 1, 32.0, 65
4 0 -1, 32.3, 49
1 1 1, 36.7, 36
3 1 -1, 36.8, 70
1 1 -2, 43.3, 48
3 1 1, 49.6, 45

[3]
This entry pairs a crystal structure of MgSnGeHCO with its computed XRD peak list. Radiation: a wavelength of 1.5418 Å. Structure: the GGA-PBE geometry in Alexandria.
No peak broadening, texture or thermal motion is included.

Atomic structure:
abc: 12.056 3.253 5.449
angles: 90.00 111.38 90.00
Space group Cm (No. 8)
Symmetry-distinct sites (fractional):
Mg 0.000 0.000 0.000
Sn 0.408 0.000 0.395
Ge 0.178 0.500 0.479
H 0.192 0.000 0.066
C 0.198 0.000 0.276
O 0.454 0.000 0.799

Principal peaks in the range 2θ = 15–90°, low angle first:
hkl, 2theta, I (rel.)
0 0 1, 17.5, 100
1 1 0, 28.6, 36
4 0 -1, 30.3, 42
4 0 0, 31.9, 37
1 1 -1, 32.1, 60
0 0 2, 35.4, 23
3 1 0, 36.6, 58
4 0 -2, 38.2, 18
1 1 -2, 43.6, 28
3 1 2, 58.2, 19

[4]
This entry pairs a crystal structure of MgSnGeHCO with its computed XRD peak list. Radiation: a wavelength of 1.5418 Å. Structure: the GGA-PBE geometry in Alexandria.
No peak broadening, texture or thermal motion is included.

Atomic structure:
abc: 9.555 3.322 7.161
angles: 90.00 124.06 90.00
Space group Cm (No. 8)
Symmetry-distinct sites (fractional):
Mg 0.000 0.000 0.000
Sn 0.393 0.000 0.358
Ge 0.171 0.000 0.799
H 0.245 0.500 0.564
C 0.176 0.500 0.648
O 0.426 0.000 0.070

Principal peaks in the range 2θ = 15–90°, low angle first:
hkl, 2theta, I (rel.)
2 0 -1, 18.7, 100
2 0 -2, 25.5, 42
1 1 0, 29.2, 64
1 1 -1, 29.8, 50
0 0 2, 30.1, 29
2 0 1, 33.5, 53
1 1 1, 35.8, 37
1 1 -2, 37.3, 40
3 1 -1, 39.4, 39
3 1 -3, 47.7, 44

[5]
This entry pairs a crystal structure of MgSnGeHCO with its computed XRD peak list. Radiation: a wavelength of 1.5418 Å. Structure: the GGA-PBE geometry in Alexandria.
No peak broadening, texture or thermal motion is included.

Atomic structure:
abc: 3.250 5.938 6.053
angles: 93.54 105.52 105.55
Space group P1 (No. 1)
Symmetry-distinct sites (fractional):
Mg 0.000 0.000 0.000
Sn 0.135 0.758 0.506
Ge 0.879 0.266 0.497
H 0.032 0.296 0.777
C 0.241 0.113 0.371
O 0.367 0.872 0.859

Principal peaks in the range 2θ = 15–90°, low angle first:
hkl, 2theta, I (rel.)
0 0 1, 15.4, 100
0 1 0, 15.7, 16
1 -1 0, 29.3, 27
1 0 0, 29.9, 20
-1 1 1, 30.0, 21
0 0 2, 31.0, 32
0 2 0, 31.6, 19
0 2 -1, 33.2, 32
1 -1 1, 36.3, 20
0 2 1, 37.3, 16

[6]
This entry pairs a crystal structure of MgSnGeHCO with its computed XRD peak list. Radiation: a wavelength of 1.5418 Å. Structure: the GGA-PBE geometry in Alexandria.
No peak broadening, texture or thermal motion is included.

Atomic structure:
abc: 11.827 3.215 5.067
angles: 90.00 93.72 90.00
Space group Cm (No. 8)
Symmetry-distinct sites (fractional):
Mg 0.000 0.000 0.000
Sn 0.382 0.000 0.514
Ge 0.138 0.000 0.468
H 0.127 0.500 0.889
C 0.096 0.500 0.676
O 0.426 0.000 0.124

Principal peaks in the range 2θ = 15–90°, low angle first:
hkl, 2theta, I (rel.)
2 0 0, 15.0, 21
0 0 1, 17.5, 100
1 1 0, 28.8, 51
4 0 0, 30.3, 37
1 1 -1, 33.6, 43
4 0 -1, 34.2, 53
0 0 2, 35.5, 30
3 1 0, 36.1, 28
4 0 1, 36.2, 37
1 1 -2, 45.9, 25

[7]
This entry pairs a crystal structure of MnGePHCN with its computed XRD peak list. Radiation: a wavelength of 1.5418 Å. Structure: the GGA-PBE geometry in Alexandria.
No peak broadening, texture or thermal motion is included.

Atomic structure:
abc: 9.247 2.862 4.769
angles: 90.00 101.86 90.00
Space group Cm (No. 8)
Symmetry-distinct sites (fractional):
Mn 0.000 0.000 0.000
Ge 0.458 0.000 0.382
P 0.272 0.500 0.751
H 0.179 0.000 0.330
C 0.272 0.000 0.521
N 0.087 0.500 0.792

Principal peaks in the range 2θ = 15–90°, low angle first:
hkl, 2theta, I (rel.)
2 0 0, 19.6, 85
2 0 1, 30.2, 44
1 1 -1, 37.1, 100
1 1 1, 39.3, 28
2 0 -2, 39.7, 25
4 0 0, 39.8, 25
3 1 -1, 45.2, 29
3 1 1, 50.6, 14
1 1 2, 53.2, 26
5 1 -1, 60.3, 21

[8]
This entry pairs a crystal structure of MnGePHCN with its computed XRD peak list. Radiation: a wavelength of 1.5418 Å. Structure: the GGA-PBE geometry in Alexandria.
No peak broadening, texture or thermal motion is included.

Atomic structure:
abc: 10.095 3.138 4.417
angles: 90.00 101.62 90.00
Space group Cm (No. 8)
Symmetry-distinct sites (fractional):
Mn 0.000 0.000 0.000
Ge 0.293 0.500 0.586
P 0.065 0.500 0.669
H 0.254 0.000 0.088
C 0.322 0.000 0.319
N 0.463 0.000 0.291

Principal peaks in the range 2θ = 15–90°, low angle first:
hkl, 2theta, I (rel.)
0 0 1, 20.5, 28
2 0 -1, 24.5, 51
1 1 0, 29.9, 49
2 0 1, 30.1, 64
1 1 -1, 35.4, 100
4 0 0, 36.3, 47
3 1 -1, 42.3, 55
3 1 1, 47.7, 24
1 1 2, 53.8, 48
5 1 0, 54.9, 27

[9]
This entry pairs a crystal structure of MnGePHCN with its computed XRD peak list. Radiation: a wavelength of 1.5418 Å. Structure: the GGA-PBE geometry in Alexandria.
No peak broadening, texture or thermal motion is included.

Atomic structure:
abc: 7.831 3.219 6.412
angles: 90.00 115.81 90.00
Space group Cm (No. 8)
Symmetry-distinct sites (fractional):
Mn 0.000 0.000 0.000
Ge 0.425 0.000 0.424
P 0.133 0.500 0.827
H 0.287 0.500 0.574
C 0.265 0.500 0.391
N 0.062 0.500 0.238

Principal peaks in the range 2θ = 15–90°, low angle first:
hkl, 2theta, I (rel.)
2 0 0, 25.3, 52
2 0 -2, 30.3, 38
0 0 2, 31.0, 45
1 1 -1, 31.7, 100
2 0 1, 35.1, 33
1 1 1, 36.8, 38
3 1 -1, 44.7, 41
4 0 -2, 47.3, 21
1 1 2, 48.1, 22
1 1 -3, 51.9, 30

[10]
This entry pairs a crystal structure of MnGePHCN with its computed XRD peak list. Radiation: a wavelength of 1.5418 Å. Structure: the GGA-PBE geometry in Alexandria.
No peak broadening, texture or thermal motion is included.

Atomic structure:
abc: 14.001 2.644 4.129
angles: 90.00 106.59 90.00
Space group Cm (No. 8)
Symmetry-distinct sites (fractional):
Mn 0.000 0.000 0.000
Ge 0.260 0.000 0.290
P 0.360 0.000 0.889
H 0.132 0.000 0.168
C 0.021 0.500 0.377
N 0.026 0.500 0.681

Principal peaks in the range 2θ = 15–90°, low angle first:
hkl, 2theta, I (rel.)
0 0 1, 22.5, 44
2 0 -1, 22.6, 61
4 0 0, 26.6, 100
2 0 1, 29.3, 55
4 0 -1, 29.6, 36
1 1 0, 34.6, 56
3 1 0, 39.6, 43
1 1 -1, 40.5, 51
3 1 1, 49.0, 58
5 1 -1, 49.2, 60

[11]
This entry pairs a crystal structure of MnGePHCN with its computed XRD peak list. Radiation: a wavelength of 1.5418 Å. Structure: the GGA-PBE geometry in Alexandria.
No peak broadening, texture or thermal motion is included.

Atomic structure:
abc: 5.004 3.001 5.472
angles: 90.00 110.65 90.00
Space group Pm (No. 6)
Symmetry-distinct sites (fractional):
Mn 0.000 0.000 0.000
Ge 0.074 0.500 0.358
P 0.857 0.500 0.682
H 0.552 0.500 0.522
C 0.622 0.000 0.000
N 0.383 0.000 0.997

Principal peaks in the range 2θ = 15–90°, low angle first:
hkl, 2theta, I (rel.)
1 0 0, 19.0, 100
1 0 -1, 20.7, 17
0 1 1, 34.6, 61
2 0 -1, 36.1, 21
1 1 1, 42.8, 30
1 1 -2, 45.4, 23
0 1 2, 46.6, 18
2 1 -2, 52.4, 20
0 0 3, 53.7, 12
2 1 1, 57.6, 15

[12]
This entry pairs a crystal structure of MnGePHCN with its computed XRD peak list. Radiation: a wavelength of 1.5418 Å. Structure: the GGA-PBE geometry in Alexandria.
No peak broadening, texture or thermal motion is included.

Atomic structure:
abc: 2.969 4.892 5.494
angles: 64.02 88.75 87.61
Space group P1 (No. 1)
Symmetry-distinct sites (fractional):
Mn 0.000 0.000 0.000
Ge 0.514 0.255 0.595
P 0.495 0.823 0.347
H 0.258 0.730 0.748
C 0.007 0.361 0.984
N 0.063 0.634 0.930

Principal peaks in the range 2θ = 15–90°, low angle first:
hkl, 2theta, I (rel.)
0 1 0, 20.2, 46
0 1 1, 20.3, 100
1 0 1, 35.2, 64
1 0 -1, 35.4, 64
0 0 2, 36.4, 21
0 2 1, 36.8, 55
1 1 2, 44.6, 47
1 -1 1, 45.5, 20
-1 1 2, 45.9, 23
0 1 -2, 49.6, 20